Diffraction record for Cs3Pa3CuS8. The powder XRD pattern is theoretical, not measured: it uses a structure optimized by DFT (GGA-PBE) and Cu Kα, 1.54184 Å.

Largest 12 diffraction maxima, sorted by position, 5 to 70 degrees two-theta:
hkl  2theta  I (rel.)
0 0 1  10.92  566
1 1 -1  14.53  231
0 0 2  21.94  497
2 2 0  25.69  604
4 0 -2  28.25  220
2 2 -2  29.30  1000
4 0 0  29.92  420
2 2 2  38.23  371
4 0 -4  41.39  180
2 2 -4  45.72  183
6 2 -2  46.21  271
4 4 0  52.80  251

Structure:
```
data_Cs3Pa3CuS8
_chemical_formula_sum 'Cs6 Pa6 Cu2 S16'
_cell_length_a 13.3066
_cell_length_b 8.5181
_cell_length_c 9.0273
_cell_angle_alpha 90.00
_cell_angle_beta 116.14
_cell_angle_gamma 90.00
_space_group_name_H-M_alt 'C 1 2/m 1'
_space_group_IT_number 12
loop_
_space_group_symop_operation_xyz
'x,y,z'
'-x,-y,-z'
'-x,y,-z'
'x,-y,z'
'x+1/2,y+1/2,z'
'-x+1/2,-y+1/2,-z'
'-x+1/2,y+1/2,-z'
'x+1/2,-y+1/2,z'
loop_
_atom_site_label
_atom_site_type_symbol
_atom_site_fract_x
_atom_site_fract_y
_atom_site_fract_z
Cs1 Cs 0.0000 0.0000 0.0000
Cs2 Cs 0.2500 0.2500 0.0000
Pa1 Pa 0.0000 0.5000 0.5000
Pa2 Pa 0.2500 0.2500 0.5000
Cu1 Cu 0.0000 0.0000 0.5000
S1 S 0.0331 0.2860 0.3035
S2 S 0.1898 0.0000 0.6469
S3 S 0.2296 0.5000 0.6834
```

=====

Diffraction record for CsZnGePSeBr. The powder XRD pattern is theoretical, not measured: it uses a structure optimized by DFT (GGA-PBE) and Cu Kα, 1.54184 Å.

Largest 12 diffraction maxima, sorted by position, 5 to 70 degrees two-theta:
hkl  2theta  I (rel.)
0 0 2  19.96  265
1 0 -2  23.81  965
1 1 0  28.42  1000
1 0 2  28.55  582
1 1 -1  29.13  940
0 1 2  30.38  235
2 0 -1  33.90  254
0 1 3  38.04  401
0 2 0  46.29  316
2 1 -3  48.00  365
2 1 2  49.23  470
3 0 1  55.32  264

Structure:
```
data_CsZnGePSeBr
_chemical_formula_sum 'Cs1 Zn1 Ge1 P1 Se1 Br1'
_cell_length_a 5.3257
_cell_length_b 3.9227
_cell_length_c 9.0415
_cell_angle_alpha 90.00
_cell_angle_beta 100.29
_cell_angle_gamma 90.00
_space_group_name_H-M_alt 'P 1 m 1'
_space_group_IT_number 6
loop_
_space_group_symop_operation_xyz
'x,y,z'
'x,-y,z'
loop_
_atom_site_label
_atom_site_type_symbol
_atom_site_fract_x
_atom_site_fract_y
_atom_site_fract_z
Cs1 Cs 0.0000 0.0000 0.0000
Zn1 Zn 0.1959 0.5000 0.5693
Ge1 Ge 0.6145 0.0000 0.3516
P1 P 0.3499 0.5000 0.3380
Se1 Se 0.9210 0.0000 0.5891
Br1 Br 0.4530 0.5000 0.8331
```

=====

Diffraction record for CsAgSb2. The powder XRD pattern is theoretical, not measured: it uses a structure optimized by DFT (GGA-PBE) and Cu Kα, 1.54184 Å.

Largest 12 diffraction maxima, sorted by position, 5 to 70 degrees two-theta:
hkl  2theta  I (rel.)
1 0 1  15.62  504
1 0 3  20.35  408
1 1 2  23.11  1000
2 0 0  30.12  255
2 0 2  31.54  449
2 1 1  34.10  219
1 1 6  35.14  336
2 0 4  35.51  326
0 0 8  37.25  286
2 0 6  41.39  212
2 2 4  47.23  573
3 1 2  49.48  248

Structure:
```
data_CsAgSb2
_chemical_formula_sum 'Cs4 Ag4 Sb8'
_cell_length_a 5.9345
_cell_length_b 5.9345
_cell_length_c 19.3107
_cell_angle_alpha 90.00
_cell_angle_beta 90.00
_cell_angle_gamma 90.00
_space_group_name_H-M_alt 'I 41/a m d'
_space_group_IT_number 141
loop_
_space_group_symop_operation_xyz
'x,y,z'
'-x,-y,-z'
'-y+1/4,x+3/4,z+1/4'
'y+1/4,-x+3/4,-z+1/4'
'-x+1/2,-y,z+1/2'
'x+1/2,y,-z+1/2'
'y+1/4,-x+1/4,z+3/4'
'-y+1/4,x+1/4,-z+3/4'
'x,-y,-z'
'-x,y,z'
'-y+1/4,-x+1/4,-z+3/4'
'y+1/4,x+1/4,z+3/4'
'-x+1/2,y,-z+1/2'
'x+1/2,-y,z+1/2'
'y+1/4,x+3/4,-z+1/4'
'-y+1/4,-x+3/4,z+1/4'
'x+1/2,y+1/2,z+1/2'
'-x+1/2,-y+1/2,-z+1/2'
'-y+3/4,x+1/4,z+3/4'
'y+3/4,-x+1/4,-z+3/4'
'-x,-y+1/2,z'
'x,y+1/2,-z'
'y+3/4,-x+3/4,z+1/4'
'-y+3/4,x+3/4,-z+1/4'
'x+1/2,-y+1/2,-z+1/2'
'-x+1/2,y+1/2,z+1/2'
'-y+3/4,-x+3/4,-z+1/4'
'y+3/4,x+3/4,z+1/4'
'-x,y+1/2,-z'
'x,-y+1/2,z'
'y+3/4,x+1/4,-z+3/4'
'-y+3/4,-x+1/4,z+3/4'
loop_
_atom_site_label
_atom_site_type_symbol
_atom_site_fract_x
_atom_site_fract_y
_atom_site_fract_z
Cs1 Cs 0.0000 0.2500 0.3750
Ag1 Ag 0.0000 0.2500 0.8750
Sb1 Sb 0.0000 0.0000 0.0000
```

=====

Diffraction record for Ba2ZnBO4. The powder XRD pattern is theoretical, not measured: it uses a structure optimized by DFT (GGA-PBE) and Cu Kα, 1.54184 Å.

Largest 12 diffraction maxima, sorted by position, 5 to 70 degrees two-theta:
hkl  2theta  I (rel.)
1 1 1  20.55  407
1 1 3  24.03  489
1 1 5  29.87  372
0 2 6  31.19  1000
0 4 0  33.12  277
1 3 3  33.69  318
1 3 5  38.19  445
2 2 0  40.80  341
2 0 6  46.09  332
1 1 11  53.83  165
0 6 6  57.91  421
1 3 11  59.41  139

Structure:
```
data_Ba2ZnBO4
_chemical_formula_sum 'Ba16 Zn8 B8 O32'
_cell_length_a 4.8475
_cell_length_b 10.8194
_cell_length_c 20.2994
_cell_angle_alpha 90.00
_cell_angle_beta 90.00
_cell_angle_gamma 90.00
_space_group_name_H-M_alt 'F d d d'
_space_group_IT_number 70
loop_
_space_group_symop_operation_xyz
'x,y,z'
'-x,-y,-z'
'-x+1/4,-y+1/4,z'
'x+1/4,y+1/4,-z'
'x,-y+1/4,-z+1/4'
'-x,y+1/4,z+1/4'
'-x+1/4,y,-z+1/4'
'x+1/4,-y,z+1/4'
'x,y+1/2,z+1/2'
'-x,-y+1/2,-z+1/2'
'-x+1/4,-y+3/4,z+1/2'
'x+1/4,y+3/4,-z+1/2'
'x,-y+3/4,-z+3/4'
'-x,y+3/4,z+3/4'
'-x+1/4,y+1/2,-z+3/4'
'x+1/4,-y+1/2,z+3/4'
'x+1/2,y,z+1/2'
'-x+1/2,-y,-z+1/2'
'-x+3/4,-y+1/4,z+1/2'
'x+3/4,y+1/4,-z+1/2'
'x+1/2,-y+1/4,-z+3/4'
'-x+1/2,y+1/4,z+3/4'
'-x+3/4,y,-z+3/4'
'x+3/4,-y,z+3/4'
'x+1/2,y+1/2,z'
'-x+1/2,-y+1/2,-z'
'-x+3/4,-y+3/4,z'
'x+3/4,y+3/4,-z'
'x+1/2,-y+3/4,-z+1/4'
'-x+1/2,y+3/4,z+1/4'
'-x+3/4,y+1/2,-z+1/4'
'x+3/4,-y+1/2,z+1/4'
loop_
_atom_site_label
_atom_site_type_symbol
_atom_site_fract_x
_atom_site_fract_y
_atom_site_fract_z
Ba1 Ba 0.1250 0.1250 0.3013
Zn1 Zn 0.1250 0.1250 0.1250
B1 B 0.1250 0.1250 0.6250
O1 O 0.0556 0.2905 0.8330
```

=====

Diffraction record for TaOsRu. The powder XRD pattern is theoretical, not measured: it uses a structure optimized by DFT (GGA-PBE) and Cu Kα, 1.54184 Å.

Largest 12 diffraction maxima, sorted by position, 5 to 70 degrees two-theta:
hkl  2theta  I (rel.)
0 0 2  20.81  57
0 1 1  25.32  100
1 0 1  33.48  51
0 1 3  39.34  1000
1 1 0  39.59  991
1 1 2  45.14  34
1 0 3  45.28  672
0 2 0  47.08  303
1 1 4  59.36  33
0 0 6  65.63  109
2 0 0  66.32  109
1 2 3  67.38  413

Structure:
```
data_TaOsRu
_chemical_formula_sum 'Ta2 Os2 Ru2'
_cell_length_a 2.8189
_cell_length_b 3.8609
_cell_length_c 8.5356
_cell_angle_alpha 90.00
_cell_angle_beta 90.00
_cell_angle_gamma 90.00
_space_group_name_H-M_alt 'I m m 2'
_space_group_IT_number 44
loop_
_space_group_symop_operation_xyz
'x,y,z'
'-x,-y,z'
'-x,y,z'
'x,-y,z'
'x+1/2,y+1/2,z+1/2'
'-x+1/2,-y+1/2,z+1/2'
'-x+1/2,y+1/2,z+1/2'
'x+1/2,-y+1/2,z+1/2'
loop_
_atom_site_label
_atom_site_type_symbol
_atom_site_fract_x
_atom_site_fract_y
_atom_site_fract_z
Ta1 Ta 0.0000 0.0000 0.0000
Os1 Os 0.0000 0.0000 0.3279
Ru1 Ru 0.0000 0.0000 0.6744
```

=====

Diffraction record for Er6As5P. The powder XRD pattern is theoretical, not measured: it uses a structure optimized by DFT (GGA-PBE) and Cu Kα, 1.54184 Å.

Largest 6 diffraction maxima, sorted by position, 5 to 70 degrees two-theta:
hkl  2theta  I (rel.)
2 0 0  26.87  315
1 3 1  31.12  1000
2 0 2  44.59  741
1 3 3  52.83  153
0 0 4  55.38  260
2 6 2  64.90  121

Structure:
```
data_Er6As5P
_chemical_formula_sum 'Er12 As10 P2'
_cell_length_a 7.0417
_cell_length_b 12.1908
_cell_length_c 7.0368
_cell_angle_alpha 90.00
_cell_angle_beta 109.47
_cell_angle_gamma 90.00
_space_group_name_H-M_alt 'C 1 2/m 1'
_space_group_IT_number 12
loop_
_space_group_symop_operation_xyz
'x,y,z'
'-x,-y,-z'
'-x,y,-z'
'x,-y,z'
'x+1/2,y+1/2,z'
'-x+1/2,-y+1/2,-z'
'-x+1/2,y+1/2,-z'
'x+1/2,-y+1/2,z'
loop_
_atom_site_label
_atom_site_type_symbol
_atom_site_fract_x
_atom_site_fract_y
_atom_site_fract_z
Er1 Er 0.2461 0.0000 0.2521
Er2 Er 0.2468 0.1644 0.7474
As1 As 0.0000 0.1678 0.0000
As2 As 0.0000 0.3334 0.5000
As3 As 0.0000 0.5000 0.0000
P1 P 0.0000 0.0000 0.5000
```

=====

Diffraction record for U2Pd4Se5. The powder XRD pattern is theoretical, not measured: it uses a structure optimized by DFT (GGA-PBE) and Cu Kα, 1.54184 Å.

Largest 12 diffraction maxima, sorted by position, 5 to 70 degrees two-theta:
hkl  2theta  I (rel.)
0 0 3  5.28  552
0 0 9  15.88  203
1 0 4  26.00  474
1 0 7  27.97  168
0 1 8  28.82  252
0 1 11  31.87  928
0 1 14  35.52  130
1 0 16  38.22  317
1 1 0  44.06  1000
1 0 22  47.29  345
2 0 11  55.38  195
1 1 18  55.51  164

Structure:
```
data_U2Pd4Se5
_chemical_formula_sum 'U6 Pd12 Se15'
_cell_length_a 4.1126
_cell_length_b 4.1126
_cell_length_c 50.2299
_cell_angle_alpha 90.00
_cell_angle_beta 90.00
_cell_angle_gamma 120.00
_space_group_name_H-M_alt 'R -3 m'
_space_group_IT_number 166
_space_group_name_Hall '-R 3 2"'
loop_
_atom_site_label
_atom_site_type_symbol
_atom_site_fract_x
_atom_site_fract_y
_atom_site_fract_z
U1 U 0.0000 0.0000 0.1324
Pd1 Pd 0.0000 0.0000 0.3166
Pd2 Pd 0.0000 0.0000 0.4196
Se1 Se 0.0000 0.0000 0.2328
Se2 Se 0.0000 0.0000 0.3686
Se3 Se 0.0000 0.0000 0.5000
```

=====

Diffraction record for PmMnNbSi2. The powder XRD pattern is theoretical, not measured: it uses a structure optimized by DFT (GGA-PBE) and Cu Kα, 1.54184 Å.

Largest 12 diffraction maxima, sorted by position, 5 to 70 degrees two-theta:
hkl  2theta  I (rel.)
1 0 1  23.58  346
0 0 4  31.64  233
1 0 3  32.63  414
1 1 2  35.47  1000
2 0 0  45.31  340
1 0 5  46.09  208
2 1 1  51.70  89
2 0 4  56.32  162
2 1 3  56.94  168
1 1 6  58.86  165
2 2 0  66.04  149
2 1 5  66.62  138

Structure:
```
data_PmMnNbSi2
_chemical_formula_sum 'Pm2 Mn2 Nb2 Si4'
_cell_length_a 4.0029
_cell_length_b 4.0029
_cell_length_c 11.3100
_cell_angle_alpha 90.00
_cell_angle_beta 90.00
_cell_angle_gamma 90.00
_space_group_name_H-M_alt 'I -4 m 2'
_space_group_IT_number 119
_space_group_name_Hall 'I -4 -2'
loop_
_atom_site_label
_atom_site_type_symbol
_atom_site_fract_x
_atom_site_fract_y
_atom_site_fract_z
Pm1 Pm 0.0000 0.0000 0.0000
Mn1 Mn 0.0000 0.5000 0.2500
Nb1 Nb 0.0000 0.5000 0.7500
Si1 Si 0.0000 0.0000 0.3909
```

=====

Diffraction record for La10Sb3Te3. The powder XRD pattern is theoretical, not measured: it uses a structure optimized by DFT (GGA-PBE) and Cu Kα, 1.54184 Å.

Largest 12 diffraction maxima, sorted by position, 5 to 70 degrees two-theta:
hkl  2theta  I (rel.)
0 0 2  27.01  200
2 1 0  28.59  293
1 0 2  29.13  158
2 1 1  31.70  1000
3 0 0  32.51  731
1 1 2  33.00  974
3 1 1  41.73  156
2 2 2  47.01  262
3 2 1  50.07  174
2 1 3  50.75  265
0 0 4  55.68  139
3 0 4  65.99  186

Structure:
```
data_La10Sb3Te3
_chemical_formula_sum 'La10 Sb3 Te3'
_cell_length_a 9.5393
_cell_length_b 9.5393
_cell_length_c 6.6020
_cell_angle_alpha 90.00
_cell_angle_beta 90.00
_cell_angle_gamma 120.00
_space_group_name_H-M_alt 'P -6 2 m'
_space_group_IT_number 189
_space_group_name_Hall 'P -6 -2'
loop_
_atom_site_label
_atom_site_type_symbol
_atom_site_fract_x
_atom_site_fract_y
_atom_site_fract_z
La1 La 0.0000 0.2570 0.0000
La2 La 0.0000 0.7435 0.5000
La3 La 0.3333 0.6667 0.2521
Sb1 Sb 0.0000 0.3845 0.5000
Te1 Te 0.0000 0.6165 0.0000
```

=====

Diffraction record for ErZn9Fe3. The powder XRD pattern is theoretical, not measured: it uses a structure optimized by DFT (GGA-PBE) and Cu Kα, 1.54184 Å.

Largest 12 diffraction maxima, sorted by position, 5 to 70 degrees two-theta:
hkl  2theta  I (rel.)
1 3 -1  29.08  261
0 2 2  32.27  169
1 3 1  35.33  451
2 0 -1  35.59  344
1 3 -2  35.81  382
1 1 2  40.77  352
2 2 0  41.03  438
0 4 2  41.30  1000
1 1 -3  41.45  854
2 2 -2  41.58  957
2 0 1  45.83  209
2 4 -1  46.60  387

Structure:
```
data_ErZn9Fe3
_chemical_formula_sum 'Er2 Zn18 Fe6'
_cell_length_a 5.0468
_cell_length_b 12.2964
_cell_length_c 6.6607
_cell_angle_alpha 90.00
_cell_angle_beta 111.02
_cell_angle_gamma 90.00
_space_group_name_H-M_alt 'C 1 2/m 1'
_space_group_IT_number 12
loop_
_space_group_symop_operation_xyz
'x,y,z'
'-x,-y,-z'
'-x,y,-z'
'x,-y,z'
'x+1/2,y+1/2,z'
'-x+1/2,-y+1/2,-z'
'-x+1/2,y+1/2,-z'
'x+1/2,-y+1/2,z'
loop_
_atom_site_label
_atom_site_type_symbol
_atom_site_fract_x
_atom_site_fract_y
_atom_site_fract_z
Er1 Er 0.0000 0.0000 0.0000
Zn1 Zn 0.0000 0.5000 0.5000
Zn2 Zn 0.1130 0.3876 0.2218
Zn3 Zn 0.1488 0.1731 0.3373
Fe1 Fe 0.0000 0.0000 0.5000
Fe2 Fe 0.2500 0.2500 0.0000
```